Entry 1:
This entry pairs a crystal structure of Er2Se3O12 with its theoretical X-ray powder pattern. Radiation: Cu Kα (λ = 1.5418 Å). Structure: a cell relaxed with GGA-PBE.
Neutral-atom scattering factors, no anomalous dispersion.

Principal peaks in the range 5 to 70 degrees two-theta, low angle first:
d_spacing, I (rel.)
6.845, 43
5.989, 79
4.726, 100
4.648, 82
4.578, 41
3.811, 25
3.537, 25
3.215, 63
3.108, 58
3.042, 53
2.999, 46
2.775, 30

Structure:
Cell lengths 7.1006, 7.1006, 6.8481 Å; angles 91.49, 91.49, 64.91 degrees
Fractional positions:
Er 0.2307 0.2307 0.3377
Er 0.7693 0.7693 0.6623
Se 0.2517 0.4903 0.8700
Se 0.5097 0.7483 0.1300
Se 0.7132 0.2868 0.5000
O 0.0490 0.5331 0.5021
O 0.0622 0.7286 0.8452
O 0.1343 0.3751 0.6541
O 0.1805 0.3769 0.0485
O 0.2714 0.9378 0.1548
O 0.4669 0.9510 0.4979
O 0.4981 0.3331 0.3654
O 0.6231 0.8195 0.9515
O 0.6249 0.8657 0.3459
O 0.6669 0.5019 0.6346
O 0.7685 0.0904 0.6524
O 0.9096 0.2315 0.3476

=====

Entry 2:
This entry pairs a crystal structure of LaTa4N6 with its theoretical X-ray powder pattern. Radiation: Cu Kα (λ = 1.5418 Å). Structure: a cell relaxed with GGA-PBE.
Neutral-atom scattering factors, no anomalous dispersion.

Principal peaks in the range 5 to 70 degrees two-theta, low angle first:
d_spacing, I (rel.)
7.928, 32
2.838, 31
2.707, 100
2.635, 67
2.598, 40
2.412, 21
2.317, 19
2.246, 50
2.141, 29
1.660, 22
1.588, 29
1.370, 25

Structure:
Cell lengths 5.4333, 5.4333, 15.8554 Å; angles 90.00, 90.00, 145.99 degrees
Fractional positions:
La 0.1534 0.8466 0.7500
La 0.8466 0.1534 0.2500
Ta 0.1034 0.8966 0.1280
Ta 0.1034 0.8966 0.3720
Ta 0.3537 0.6463 0.0421
Ta 0.3537 0.6463 0.4579
Ta 0.6463 0.3537 0.5421
Ta 0.6463 0.3537 0.9579
Ta 0.8966 0.1034 0.6280
Ta 0.8966 0.1034 0.8720
N 0.0000 0.0000 0.0000
N 0.0000 0.0000 0.5000
N 0.1559 0.8441 0.2500
N 0.2633 0.7367 0.5924
N 0.2633 0.7367 0.9076
N 0.4691 0.5309 0.1517
N 0.4691 0.5309 0.3483
N 0.5309 0.4691 0.6517
N 0.5309 0.4691 0.8483
N 0.7367 0.2633 0.0924
N 0.7367 0.2633 0.4076
N 0.8441 0.1559 0.7500